(1)
# Sr3MnBr8
Calculated powder diffractogram, Cu Kα (λ = 1.5418 Å). Input: a crystal structure in Alexandria, relaxed with GGA-PBE.
Intensities are scaled so that the largest is 1000.

Cell and atoms:
```
data_Sr3MnBr8
_symmetry_space_group_name_H-M 'P 1'
_symmetry_Int_Tables_number 1
_cell_length_a 7.8087
_cell_length_b 7.8087
_cell_length_c 8.5809
_cell_angle_alpha 90.00
_cell_angle_beta 90.00
_cell_angle_gamma 113.29
loop_
_symmetry_equiv_pos_as_xyz
'x,y,z'
loop_
_atom_site_label
_atom_site_fract_x
_atom_site_fract_y
_atom_site_fract_z
_atom_site_occupancy
Sr1 0.0000 0.0000 0.0000 1
Sr2 0.0000 0.5000 0.7435 1
Sr3 0.5000 0.0000 0.2565 1
Mn1 0.0000 0.0000 0.5000 1
Br1 0.2062 0.7938 0.5000 1
Br2 0.2147 0.2424 0.7257 1
Br3 0.2350 0.7650 0.0000 1
Br4 0.2424 0.2147 0.2743 1
Br5 0.7576 0.7853 0.2743 1
Br6 0.7650 0.2350 0.0000 1
Br7 0.7853 0.7576 0.7257 1
Br8 0.7938 0.2062 0.5000 1
```

The 10 most intense peaks (2θ from 5° to 70°), in order of falling intensity:
| 2θ (°) | I_rel |
| --- | --- |
| 29.43 | 1000 |
| 40.61 | 626 |
| 12.34 | 545 |
| 27.35 | 492 |
| 16.11 | 397 |
| 50.94 | 299 |
| 24.83 | 293 |
| 42.08 | 206 |
| 42.12 | 171 |
| 69.23 | 154 |

(2)
# TaMnBr2
Calculated powder diffractogram, Cu Kα (λ = 1.5418 Å). Input: a crystal structure in Alexandria, relaxed with GGA-PBE.
Intensities are scaled so that the largest is 1000.

Cell and atoms:
```
data_TaMnBr2
_symmetry_space_group_name_H-M 'P 1'
_symmetry_Int_Tables_number 1
_cell_length_a 3.4135
_cell_length_b 3.4135
_cell_length_c 27.5303
_cell_angle_alpha 90.00
_cell_angle_beta 90.00
_cell_angle_gamma 120.00
loop_
_symmetry_equiv_pos_as_xyz
'x,y,z'
loop_
_atom_site_label
_atom_site_fract_x
_atom_site_fract_y
_atom_site_fract_z
_atom_site_occupancy
Ta1 0.0000 0.0000 0.0000 1
Ta2 0.3333 0.6667 0.6667 1
Ta3 0.6667 0.3333 0.3333 1
Mn1 0.0000 0.0000 0.2720 1
Mn2 0.3333 0.6667 0.9387 1
Mn3 0.6667 0.3333 0.6053 1
Br1 0.0000 0.0000 0.5430 1
Br2 0.0000 0.0000 0.7370 1
Br3 0.3333 0.6667 0.2096 1
Br4 0.3333 0.6667 0.4036 1
Br5 0.6667 0.3333 0.0703 1
Br6 0.6667 0.3333 0.8763 1
```

The 10 most intense peaks (2θ from 5° to 70°), in order of falling intensity:
| 2θ (°) | I_rel |
| --- | --- |
| 9.64 | 1000 |
| 32.98 | 767 |
| 38.08 | 372 |
| 47.61 | 319 |
| 53.70 | 242 |
| 40.22 | 196 |
| 34.43 | 116 |
| 64.48 | 107 |
| 30.94 | 106 |
| 49.67 | 91 |

(3)
# MnTe2Br
Calculated powder diffractogram, Cu Kα (λ = 1.5418 Å). Input: a crystal structure in Alexandria, relaxed with GGA-PBE.
Intensities are scaled so that the largest is 1000.

Cell and atoms:
```
data_MnTe2Br
_symmetry_space_group_name_H-M 'P 1'
_symmetry_Int_Tables_number 1
_cell_length_a 7.1070
_cell_length_b 3.8940
_cell_length_c 8.0608
_cell_angle_alpha 90.00
_cell_angle_beta 91.31
_cell_angle_gamma 90.00
loop_
_symmetry_equiv_pos_as_xyz
'x,y,z'
loop_
_atom_site_label
_atom_site_fract_x
_atom_site_fract_y
_atom_site_fract_z
_atom_site_occupancy
Mn1 0.0000 0.0000 0.0000 1
Mn2 0.5000 0.5000 0.0000 1
Te1 0.1744 0.5000 0.1760 1
Te2 0.3256 0.0000 0.8240 1
Te3 0.6744 0.0000 0.1760 1
Te4 0.8256 0.5000 0.8240 1
Br1 0.0000 0.5000 0.5000 1
Br2 0.5000 0.0000 0.5000 1
```

The 10 most intense peaks (2θ from 5° to 70°), in order of falling intensity:
| 2θ (°) | I_rel |
| --- | --- |
| 28.50 | 1000 |
| 33.24 | 610 |
| 27.67 | 484 |
| 10.98 | 423 |
| 42.60 | 383 |
| 34.62 | 349 |
| 58.50 | 349 |
| 26.10 | 297 |
| 33.36 | 294 |
| 46.03 | 253 |

(4)
# Th6MnBr15
Calculated powder diffractogram, Cu Kα (λ = 1.5418 Å). Input: a crystal structure in Alexandria, relaxed with GGA-PBE.
Intensities are scaled so that the largest is 1000.

Cell and atoms:
```
data_Th6MnBr15
_symmetry_space_group_name_H-M 'P 1'
_symmetry_Int_Tables_number 1
_cell_length_a 10.1415
_cell_length_b 10.1415
_cell_length_c 10.1415
_cell_angle_alpha 109.47
_cell_angle_beta 109.47
_cell_angle_gamma 109.47
loop_
_symmetry_equiv_pos_as_xyz
'x,y,z'
loop_
_atom_site_label
_atom_site_fract_x
_atom_site_fract_y
_atom_site_fract_z
_atom_site_occupancy
Th1 0.0000 0.2374 0.2374 1
Th2 0.0000 0.7626 0.7626 1
Th3 0.2374 0.0000 0.2374 1
Th4 0.2374 0.2374 0.0000 1
Th5 0.7626 0.0000 0.7626 1
Th6 0.7626 0.7626 0.0000 1
Mn1 0.0000 0.0000 0.0000 1
Br1 0.0000 0.2501 0.7499 1
Br2 0.0000 0.5000 0.5000 1
Br3 0.0000 0.7499 0.2501 1
Br4 0.2501 0.0000 0.7499 1
Br5 0.2501 0.2501 0.5003 1
Br6 0.2501 0.5003 0.2501 1
Br7 0.2501 0.7499 0.0000 1
Br8 0.5000 0.0000 0.5000 1
Br9 0.5003 0.2501 0.2501 1
Br10 0.5000 0.5000 0.0000 1
Br11 0.4997 0.7499 0.7499 1
Br12 0.7499 0.0000 0.2501 1
Br13 0.7499 0.2501 0.0000 1
Br14 0.7499 0.4997 0.7499 1
Br15 0.7499 0.7499 0.4997 1
```

The 10 most intense peaks (2θ from 5° to 70°), in order of falling intensity:
| 2θ (°) | I_rel |
| --- | --- |
| 30.54 | 1000 |
| 10.68 | 777 |
| 43.73 | 733 |
| 28.52 | 400 |
| 18.56 | 302 |
| 54.27 | 254 |
| 39.23 | 184 |
| 35.97 | 175 |
| 21.46 | 147 |
| 15.13 | 139 |